1.
This entry pairs a crystal structure of Ce6AlIn3 with its simulated powder diffraction line list. Radiation: λ = 1.5418 Å (Cu Kα). Structure: a structure optimized by DFT (GGA-PBE).
Lines closer than 0.1° are merged.

Largest 8 diffraction maxima, by intensity, 10 to 80 degrees two-theta:
2theta	d [Å]	I/Imax	(hkl)
33.3	2.694	100	2 1 4
36.8	2.439	34	1 2 5
29.3	3.049	33	3 0 0
28.5	3.134	27	0 2 4
35.8	2.510	21	1 3 1
33.9	2.641	19	2 2 0
32.6	2.750	18	2 0 5
54.5	1.684	15	0 5 4

Atomic structure:
Cell lengths 10.5631, 10.5631, 17.2119 Å; angles 90.00, 90.00, 120.00 degrees
Space group R-3m (No. 166, hexagonal axes)
Symmetry-distinct sites (fractional):
Ce  0.0951  0.5475  0.0603
Ce  0.1113  0.2227  0.1563
Al  0.0000  0.0000  0.0000
Al  0.0000  0.0000  0.5000
In  0.0030  0.5015  0.3804


2.
This entry pairs a crystal structure of Pr5Dy3Cd2 with its simulated powder diffraction line list. Radiation: λ = 1.5418 Å (Cu Kα). Structure: a structure optimized by DFT (GGA-PBE).
Lines closer than 0.1° are merged.

Largest 8 diffraction maxima, by intensity, 10 to 80 degrees two-theta:
2theta	d [Å]	I/Imax	(hkl)
33.1	2.705	100	2 0 2
29.6	3.014	70	1 6 1
32.5	2.753	61	2 6 0
35.5	2.528	55	0 6 2
30.1	2.965	47	1 3 2
27.5	3.241	35	2 3 1
34.2	2.624	32	3 3 0
32.1	2.789	28	3 1 0

Atomic structure:
Cell lengths 8.444, 21.781, 7.047 Å; angles 90.00, 90.00, 90.00 degrees
Space group Ibam (No. 72)
Symmetry-distinct sites (fractional):
Pr  0.000  0.000  0.250
Pr  0.000  0.336  0.250
Pr  0.167  0.216  0.000
Dy  0.000  0.500  0.250
Dy  0.181  0.119  0.500
Cd  0.248  0.075  0.000


3.
This entry pairs a crystal structure of Ac5Ge2H with its simulated powder diffraction line list. Radiation: λ = 1.5418 Å (Cu Kα). Structure: a structure optimized by DFT (GGA-PBE).
Lines closer than 0.1° are merged.

Largest 8 diffraction maxima, by intensity, 10 to 80 degrees two-theta:
2theta	d [Å]	I/Imax	(hkl)
30.7	2.913	100	2 2 2
52.7	1.737	23	4 0 4
33.5	2.678	20	0 4 0
33.6	2.669	20	4 0 0
58.1	1.588	17	2 6 2
58.3	1.584	17	6 2 2
15.2	5.826	16	1 1 1
23.5	3.781	16	2 2 0

Atomic structure:
Cell lengths 10.675, 10.711, 9.141 Å; angles 90.00, 90.00, 90.00 degrees
Space group Fmm2 (No. 42)
Symmetry-distinct sites (fractional):
Ac  0.000  0.000  0.000
Ac  0.000  0.249  0.755
Ac  0.249  0.000  0.755
Ge  0.250  0.250  0.003
H  0.000  0.000  0.727


4.
This entry pairs a crystal structure of Dy2PdN with its simulated powder diffraction line list. Radiation: λ = 1.5418 Å (Cu Kα). Structure: a structure optimized by DFT (GGA-PBE).
Lines closer than 0.1° are merged.

Largest 8 diffraction maxima, by intensity, 10 to 80 degrees two-theta:
2theta	d [Å]	I/Imax	(hkl)
34.2	2.621	100	1 0 4
36.5	2.460	36	0 1 5
52.8	1.735	34	1 1 0
64.4	1.446	32	1 0 13
30.9	2.893	28	0 1 2
45.4	1.999	27	0 1 8
66.7	1.402	24	1 1 9
37.8	2.381	21	0 0 9

Atomic structure:
Cell lengths 3.4699, 3.4699, 21.4279 Å; angles 90.00, 90.00, 120.00 degrees
Space group R-3m (No. 166, hexagonal axes)
Symmetry-distinct sites (fractional):
Dy  0.0000  0.0000  0.2316
Pd  0.0000  0.0000  0.0000
N  0.0000  0.0000  0.5000